1.
This entry pairs a crystal structure of Ho3Ga2Ru2 with its theoretical powder XRD pattern. Radiation: λ = 1.5418 Å (Cu Kα). Structure: a cell relaxed with PBE.

Main lines, by intensity (15 to 90 degrees two-theta):
two_theta, intensity, hkl
39.70, 100, 2 1 3
39.26, 74, 1 3 0
38.69, 72, 0 0 6
34.59, 59, 1 2 3
32.55, 57, 1 1 4
34.98, 56, 0 2 4
34.48, 55, 2 1 0
56.31, 32, 1 3 6
30.46, 29, 0 2 3
59.11, 26, 3 2 3

Cell and atoms:
Lattice parameters (Å, degrees): 5.540 7.563 13.963 90.00 90.00 90.00
Element x y z (fractional)
Ho (0.117, 0.237, 0.250)
Ho (0.117, 0.263, 0.750)
Ho (0.348, 0.600, 0.095)
Ho (0.348, 0.600, 0.405)
Ho (0.348, 0.900, 0.595)
Ho (0.348, 0.900, 0.905)
Ho (0.652, 0.100, 0.095)
Ho (0.652, 0.100, 0.405)
Ho (0.652, 0.400, 0.595)
Ho (0.652, 0.400, 0.905)
Ho (0.883, 0.737, 0.250)
Ho (0.883, 0.763, 0.750)
Ga (0.138, 0.250, 0.000)
Ga (0.138, 0.250, 0.500)
Ga (0.380, 0.606, 0.750)
Ga (0.380, 0.894, 0.250)
Ga (0.620, 0.106, 0.750)
Ga (0.620, 0.394, 0.250)
Ga (0.862, 0.750, 0.000)
Ga (0.862, 0.750, 0.500)
Ru (0.146, 0.538, 0.595)
Ru (0.146, 0.538, 0.905)
Ru (0.146, 0.962, 0.095)
Ru (0.146, 0.962, 0.405)
Ru (0.854, 0.038, 0.595)
Ru (0.854, 0.038, 0.905)
Ru (0.854, 0.462, 0.095)
Ru (0.854, 0.462, 0.405)

2.
This entry pairs a crystal structure of Ho4Ga3Ru with its theoretical powder XRD pattern. Radiation: λ = 1.5418 Å (Cu Kα). Structure: a cell relaxed with PBE.

Main lines, by intensity (15 to 90 degrees two-theta):
two_theta, intensity, hkl
31.94, 100, 1 1 1
33.73, 42, 1 0 3
39.91, 42, 1 1 3
42.13, 26, 0 2 0
26.54, 25, 0 1 2
39.45, 24, 0 1 4
33.19, 21, 0 0 4
55.02, 21, 1 2 3
46.08, 20, 2 0 0
64.19, 16, 2 2 0

Cell and atoms:
Lattice parameters (Å, degrees): 3.940 4.290 10.795 90.00 90.00 90.00
Element x y z (fractional)
Ho (0.000, 0.000, 0.000)
Ho (0.000, 0.500, 0.270)
Ho (0.500, 0.000, 0.471)
Ho (0.500, 0.500, 0.780)
Ga (0.000, 0.000, 0.707)
Ga (0.000, 0.500, 0.556)
Ga (0.500, 0.500, 0.060)
Ru (0.500, 0.000, 0.201)